(1)
ErLu3: computed powder diffractogram (copper Kα), based on a GGA-PBE-relaxed structure.
Peak positions follow from Bragg's law for the DFT cell and can differ from measured ones.

Peak list (6 most intense, 10° ≤ 2θ ≤ 90°, low angle first)
- 29.2 deg, I 24
- 32.5 deg, I 24
- 33.5 deg, I 100
- 51.7 deg, I 20
- 58.6 deg, I 20
- 62.4 deg, I 22

Structural model:
abc: 7.0746 7.0746 5.5060
angles: 90.00 90.00 120.00
Sites, in units of the cell vectors:
Er  0.3333  0.6667  0.2500
Er  0.6667  0.3333  0.7500
Lu  0.1663  0.3326  0.7500
Lu  0.1663  0.8337  0.7500
Lu  0.3326  0.1663  0.2500
Lu  0.6674  0.8337  0.7500
Lu  0.8337  0.1663  0.2500
Lu  0.8337  0.6674  0.2500

***

(2)
ErLuPd2: computed powder diffractogram (copper Kα), based on a GGA-PBE-relaxed structure.
Peak positions follow from Bragg's law for the DFT cell and can differ from measured ones.

Peak list (6 most intense, 10° ≤ 2θ ≤ 90°, low angle first)
- 25.8 deg, I 6
- 36.8 deg, I 100
- 53.0 deg, I 17
- 66.3 deg, I 36
- 78.3 deg, I 11
- 89.8 deg, I 16

Structural model:
abc: 4.8853 4.8853 4.8853
angles: 60.00 60.00 60.00
Sites, in units of the cell vectors:
Er  0.0000  0.0000  0.0000
Lu  0.5000  0.5000  0.5000
Pd  0.2500  0.2500  0.2500
Pd  0.7500  0.7500  0.7500

***

(3)
ErLuZn2: computed powder diffractogram (copper Kα), based on a GGA-PBE-relaxed structure.
Peak positions follow from Bragg's law for the DFT cell and can differ from measured ones.

Peak list (6 most intense, 10° ≤ 2θ ≤ 90°, low angle first)
- 25.4 deg, I 20
- 36.2 deg, I 100
- 52.1 deg, I 18
- 65.1 deg, I 35
- 76.9 deg, I 11
- 88.0 deg, I 16

Structural model:
abc: 4.9609 4.9609 4.9609
angles: 60.00 60.00 60.00
Sites, in units of the cell vectors:
Er  0.0000  0.0000  0.0000
Lu  0.5000  0.5000  0.5000
Zn  0.2500  0.2500  0.2500
Zn  0.7500  0.7500  0.7500

***

(4)
Er2Mg: computed powder diffractogram (copper Kα), based on a GGA-PBE-relaxed structure.
Peak positions follow from Bragg's law for the DFT cell and can differ from measured ones.

Peak list (6 most intense, 10° ≤ 2θ ≤ 90°, low angle first)
- 10.9 deg, I 44
- 28.6 deg, I 22
- 32.7 deg, I 100
- 33.1 deg, I 24
- 33.2 deg, I 24
- 47.6 deg, I 20

Structural model:
abc: 8.5462 8.3448 3.3355
angles: 82.03 75.24 22.74
Sites, in units of the cell vectors:
Er  0.1651  0.1651  0.8349
Er  0.8349  0.8349  0.1651
Mg  0.5000  0.5000  0.5000

***

(5)
Er2Mg: computed powder diffractogram (copper Kα), based on a GGA-PBE-relaxed structure.
Peak positions follow from Bragg's law for the DFT cell and can differ from measured ones.

Peak list (6 most intense, 10° ≤ 2θ ≤ 90°, low angle first)
- 13.3 deg, I 23
- 25.8 deg, I 31
- 32.2 deg, I 100
- 35.5 deg, I 39
- 55.2 deg, I 21
- 61.7 deg, I 31

Structural model:
abc: 7.1068 7.1068 7.1068
angles: 150.88 150.88 41.65
Sites, in units of the cell vectors:
Er  0.1616  0.1616  0.0000
Er  0.8384  0.8384  0.0000
Mg  0.5000  0.5000  0.0000

***

(6)
ErMg2: computed powder diffractogram (copper Kα), based on a GGA-PBE-relaxed structure.
Peak positions follow from Bragg's law for the DFT cell and can differ from measured ones.

Peak list (6 most intense, 10° ≤ 2θ ≤ 90°, low angle first)
- 17.0 deg, I 46
- 19.3 deg, I 32
- 29.7 deg, I 81
- 32.4 deg, I 100
- 35.0 deg, I 77
- 54.4 deg, I 45

Structural model:
abc: 6.0206 6.0206 9.7676
angles: 90.00 90.00 120.00
Sites, in units of the cell vectors:
Er  0.3333  0.6667  0.0636
Er  0.3333  0.6667  0.4364
Er  0.6667  0.3333  0.5636
Er  0.6667  0.3333  0.9364
Mg  0.0000  0.0000  0.0000
Mg  0.0000  0.0000  0.5000
Mg  0.1709  0.3418  0.7500
Mg  0.1709  0.8291  0.7500
Mg  0.3418  0.1709  0.2500
Mg  0.6582  0.8291  0.7500
Mg  0.8291  0.1709  0.2500
Mg  0.8291  0.6582  0.2500

***

(7)
Er5Mg: computed powder diffractogram (copper Kα), based on a GGA-PBE-relaxed structure.
Peak positions follow from Bragg's law for the DFT cell and can differ from measured ones.

Peak list (6 most intense, 10° ≤ 2θ ≤ 90°, low angle first)
- 29.4 deg, I 25
- 32.5 deg, I 24
- 33.7 deg, I 100
- 52.1 deg, I 19
- 58.7 deg, I 20
- 62.8 deg, I 22

Structural model:
abc: 6.5370 6.5370 6.5370
angles: 55.39 55.39 55.39
Sites, in units of the cell vectors:
Er  0.0000  0.6626  0.3374
Er  0.1678  0.1678  0.1678
Er  0.3374  0.0000  0.6626
Er  0.6626  0.3374  0.0000
Er  0.8322  0.8322  0.8322
Mg  0.5000  0.5000  0.5000

***

(8)
ErMg2: computed powder diffractogram (copper Kα), based on a GGA-PBE-relaxed structure.
Peak positions follow from Bragg's law for the DFT cell and can differ from measured ones.

Peak list (6 most intense, 10° ≤ 2θ ≤ 90°, low angle first)
- 18.1 deg, I 66
- 29.8 deg, I 100
- 35.1 deg, I 97
- 52.8 deg, I 41
- 56.3 deg, I 33
- 61.8 deg, I 21

Structural model:
abc: 6.0024 6.0024 6.0024
angles: 60.00 60.00 60.00
Sites, in units of the cell vectors:
Er  0.1250  0.1250  0.1250
Er  0.8750  0.8750  0.8750
Mg  0.0000  0.5000  0.5000
Mg  0.5000  0.0000  0.5000
Mg  0.5000  0.5000  0.0000
Mg  0.5000  0.5000  0.5000

***

(9)
ErMg: computed powder diffractogram (copper Kα), based on a GGA-PBE-relaxed structure.
Peak positions follow from Bragg's law for the DFT cell and can differ from measured ones.

Peak list (6 most intense, 10° ≤ 2θ ≤ 90°, low angle first)
- 23.6 deg, I 65
- 33.7 deg, I 100
- 41.6 deg, I 20
- 48.4 deg, I 18
- 54.5 deg, I 28
- 60.2 deg, I 38

Structural model:
abc: 3.7626 3.7626 3.7626
angles: 90.00 90.00 90.00
Sites, in units of the cell vectors:
Er  0.0000  0.0000  0.0000
Mg  0.5000  0.5000  0.5000

***

(10)
Er2Mg: computed powder diffractogram (copper Kα), based on a GGA-PBE-relaxed structure.
Peak positions follow from Bragg's law for the DFT cell and can differ from measured ones.

Peak list (6 most intense, 10° ≤ 2θ ≤ 90°, low angle first)
- 10.2 deg, I 24
- 26.4 deg, I 26
- 33.0 deg, I 31
- 33.7 deg, I 100
- 35.3 deg, I 22
- 59.4 deg, I 20

Structural model:
abc: 8.8238 8.8238 5.4289
angles: 90.00 90.00 156.49
Sites, in units of the cell vectors:
Er  0.0974  0.9026  0.7500
Er  0.2255  0.7745  0.2500
Er  0.7745  0.2255  0.7500
Er  0.9026  0.0974  0.2500
Mg  0.4375  0.5625  0.7500
Mg  0.5625  0.4375  0.2500

***

(11)
NdErMg2: computed powder diffractogram (copper Kα), based on a GGA-PBE-relaxed structure.
Peak positions follow from Bragg's law for the DFT cell and can differ from measured ones.

Peak list (6 most intense, 10° ≤ 2θ ≤ 90°, low angle first)
- 23.3 deg, I 62
- 33.1 deg, I 100
- 40.9 deg, I 19
- 47.5 deg, I 18
- 53.6 deg, I 26
- 59.2 deg, I 38

Structural model:
abc: 5.4087 5.4087 5.4087
angles: 60.00 60.00 60.00
Sites, in units of the cell vectors:
Nd  0.0000  0.0000  0.0000
Er  0.5000  0.5000  0.5000
Mg  0.2500  0.2500  0.2500
Mg  0.7500  0.7500  0.7500

***

(12)
ErMgPd: computed powder diffractogram (copper Kα), based on a GGA-PBE-relaxed structure.
Peak positions follow from Bragg's law for the DFT cell and can differ from measured ones.

Peak list (6 most intense, 10° ≤ 2θ ≤ 90°, low angle first)
- 23.8 deg, I 35
- 27.6 deg, I 27
- 32.8 deg, I 85
- 35.7 deg, I 100
- 41.9 deg, I 28
- 56.2 deg, I 26

Structural model:
abc: 7.4696 7.4696 4.0123
angles: 90.00 90.00 120.00
Sites, in units of the cell vectors:
Er  0.0000  0.5856  0.0000
Er  0.4144  0.4144  0.0000
Er  0.5856  0.0000  0.0000
Mg  0.0000  0.2453  0.5000
Mg  0.2453  0.0000  0.5000
Mg  0.7547  0.7547  0.5000
Pd  0.0000  0.0000  0.0000
Pd  0.3333  0.6667  0.5000
Pd  0.6667  0.3333  0.5000

***

(13)
Er2MgS4: computed powder diffractogram (copper Kα), based on a GGA-PBE-relaxed structure.
Peak positions follow from Bragg's law for the DFT cell and can differ from measured ones.

Peak list (6 most intense, 10° ≤ 2θ ≤ 90°, low angle first)
- 19.7 deg, I 38
- 25.3 deg, I 100
- 32.8 deg, I 65
- 35.0 deg, I 54
- 43.6 deg, I 34
- 48.4 deg, I 44

Structural model:
abc: 12.5791 7.5100 12.7262
angles: 90.00 90.00 90.00
Sites, in units of the cell vectors:
Er  0.1085  0.1146  0.0000
Er  0.1266  0.6162  0.3594
Er  0.1343  0.3688  0.6933
Er  0.1346  0.8691  0.6938
Er  0.3654  0.8691  0.1938
Er  0.3657  0.3688  0.1933
Er  0.3734  0.6162  0.8594
Er  0.3915  0.1146  0.5000
Er  0.6085  0.8854  0.0000
Er  0.6266  0.3838  0.3594
Er  0.6343  0.6312  0.6933
Er  0.6346  0.1309  0.6938
Er  0.8654  0.1309  0.1938
Er  0.8657  0.6312  0.1933
Er  0.8734  0.3838  0.8594
Er  0.8915  0.8854  0.5000
Mg  0.1116  0.6162  0.9939
Mg  0.1262  0.1198  0.3643
Mg  0.3738  0.1198  0.8643
Mg  0.3884  0.6162  0.4939
Mg  0.6116  0.3838  0.9939
Mg  0.6262  0.8802  0.3643
Mg  0.8738  0.8802  0.8643
Mg  0.8884  0.3838  0.4939
S  0.0130  0.1216  0.8078
S  0.0236  0.6242  0.8149
S  0.0309  0.6208  0.5549
S  0.0449  0.1231  0.5491
S  0.2114  0.1184  0.1836
S  0.2129  0.6186  0.1669
S  0.2319  0.8660  0.9117
S  0.2338  0.3634  0.9090
S  0.2662  0.3634  0.4090
S  0.2681  0.8660  0.4117
S  0.2871  0.6186  0.6669
S  0.2886  0.1184  0.6836
S  0.4551  0.1231  0.0491
S  0.4691  0.6208  0.0549
S  0.4764  0.6242  0.3149
S  0.4870  0.1216  0.3078
S  0.5130  0.8784  0.8078
S  0.5236  0.3758  0.8149
S  0.5309  0.3792  0.5549
S  0.5449  0.8769  0.5491
S  0.7114  0.8816  0.1836
S  0.7129  0.3814  0.1669
S  0.7319  0.1340  0.9117
S  0.7338  0.6366  0.9090
S  0.7662  0.6366  0.4090
S  0.7681  0.1340  0.4117
S  0.7871  0.3814  0.6669
S  0.7886  0.8816  0.6836
S  0.9551  0.8769  0.0491
S  0.9691  0.3792  0.0549
S  0.9764  0.3758  0.3149
S  0.9870  0.8784  0.3078

***

(14)
Er2MgS4: computed powder diffractogram (copper Kα), based on a GGA-PBE-relaxed structure.
Peak positions follow from Bragg's law for the DFT cell and can differ from measured ones.

Peak list (6 most intense, 10° ≤ 2θ ≤ 90°, low angle first)
- 15.8 deg, I 89
- 25.3 deg, I 100
- 25.7 deg, I 51
- 28.5 deg, I 48
- 32.9 deg, I 63
- 35.1 deg, I 79

Structural model:
abc: 6.5080 6.5080 12.7857
angles: 90.00 90.00 146.43
Sites, in units of the cell vectors:
Er  0.1178  0.8822  0.5000
Er  0.3620  0.6380  0.7007
Er  0.6380  0.3620  0.2007
Er  0.8822  0.1178  0.0000
Mg  0.3739  0.6261  0.3371
Mg  0.6261  0.3739  0.8371
S  0.0118  0.9882  0.2854
S  0.2637  0.7363  0.8881
S  0.2885  0.7115  0.1471
S  0.4637  0.5363  0.5156
S  0.5363  0.4637  0.0156
S  0.7115  0.2885  0.6471
S  0.7363  0.2637  0.3881
S  0.9882  0.0118  0.7854